Computed X-ray diffraction stick pattern
Compound: TbPrSiS
Radiation: copper Kα
Structure: a cell relaxed with GGA-PBE
Neutral-atom scattering factors, no anomalous dispersion.

The 12 most intense peaks (2θ = 15–90°), by intensity:
index  Position (°2θ)  d (Å)  I/Imax
1 0 4  30.55  2.926  100
0 1 2  26.46  3.369  61
0 1 8  43.55  2.078  37
1 1 0  43.95  2.060  36
0 0 6  26.14  3.409  21
1 1 6  51.85  1.763  20
0 2 4  54.47  1.685  19
1 1 12  71.89  1.313  16
2 1 4  72.48  1.304  16
1 2 8  80.52  1.193  12
2 0 8  63.59  1.463  12
1 0 10  51.50  1.775  10

Crystal structure
```
data_TbPrSiS
_chemical_formula_sum 'Tb3 Pr3 Si3 S3'
_space_group_name_H-M_alt 'R 3 m'
_space_group_IT_number 160
_space_group_name_Hall 'R 3 -2"'
_cell_length_a 4.1202
_cell_length_b 4.1202
_cell_length_c 20.4552
_cell_angle_alpha 90.00
_cell_angle_beta 90.00
_cell_angle_gamma 120.00
loop_
_atom_site_label
_atom_site_fract_x
_atom_site_fract_y
_atom_site_fract_z
Tb1 0.0000 0.0000 0.0000
Pr1 0.0000 0.0000 0.4998
Si1 0.0000 0.0000 0.7470
S1 0.0000 0.0000 0.2541
```